(1)
This entry pairs a crystal structure of Ac5CoN with its simulated X-ray powder pattern. Radiation: Cu Ka. Structure: the PBE geometry in Alexandria.
No peak broadening, texture or thermal motion is included.

Largest 12 diffraction maxima, low angle first, 2θ from 10° to 90°:
2theta  I_rel
18.41  62
23.49  33
25.19  53
25.44  100
25.99  32
26.16  100
26.45  72
27.40  91
29.08  47
29.61  35
37.33  50
50.83  53

Structure:
Lattice parameters (Å, degrees): 7.5857 7.5903 10.8117 108.37 110.08 93.49
Atoms (fractional coordinates):
1 Ac 0.0975 0.1501 0.3449
2 Ac 0.1743 0.4255 0.7504
3 Ac 0.3071 0.7533 0.1560
4 Ac 0.3103 0.1966 0.0493
5 Ac 0.3529 0.7377 0.5492
6 Ac 0.6471 0.2623 0.4508
7 Ac 0.6897 0.8034 0.9507
8 Ac 0.6929 0.2467 0.8440
9 Ac 0.8257 0.5745 0.2496
10 Ac 0.9025 0.8499 0.6551
11 Co 0.0000 0.5000 0.5000
12 Co 0.5000 0.5000 0.0000
13 N 0.3498 0.1001 0.2501
14 N 0.6502 0.8999 0.7499

(2)
This entry pairs a crystal structure of Ac4Co2N with its simulated X-ray powder pattern. Radiation: Cu Ka. Structure: the PBE geometry in Alexandria.
No peak broadening, texture or thermal motion is included.

Largest 12 diffraction maxima, low angle first, 2θ from 10° to 90°:
2theta  I_rel
25.49  64
25.65  37
26.19  31
30.39  36
31.32  14
33.36  100
39.35  17
44.00  19
45.04  30
50.60  14
51.64  18
56.28  15

Structure:
Lattice parameters (Å, degrees): 6.9238 4.1159 7.2765 90.00 107.30 90.00
Atoms (fractional coordinates):
1 Ac 0.0739 0.0000 0.2752
2 Ac 0.3867 0.5000 0.7294
3 Ac 0.6133 0.5000 0.2706
4 Ac 0.9261 0.0000 0.7248
5 Co 0.3260 0.0000 0.9744
6 Co 0.6740 0.0000 0.0256
7 N 0.0000 0.5000 0.5000

(3)
This entry pairs a crystal structure of Ac3Co2N6 with its simulated X-ray powder pattern. Radiation: Cu Ka. Structure: the PBE geometry in Alexandria.
No peak broadening, texture or thermal motion is included.

Largest 12 diffraction maxima, low angle first, 2θ from 10° to 90°:
2theta  I_rel
23.28  40
25.53  20
31.40  100
32.58  57
41.84  34
46.74  27
53.62  16
54.01  12
55.15  10
57.40  37
73.83  13
77.69  10

Structure:
Lattice parameters (Å, degrees): 10.8220 10.8220 10.8220 159.31 159.31 29.42
Atoms (fractional coordinates):
1 Ac 0.0000 0.0000 0.0000
2 Ac 0.1802 0.1802 0.0000
3 Ac 0.8198 0.8198 0.0000
4 Co 0.3968 0.3968 0.0000
5 Co 0.6032 0.6032 0.0000
6 N 0.0873 0.5873 0.5000
7 N 0.3063 0.3063 0.0000
8 N 0.4127 0.9127 0.5000
9 N 0.5873 0.0873 0.5000
10 N 0.6937 0.6937 0.0000
11 N 0.9127 0.4127 0.5000

(4)
This entry pairs a crystal structure of Ac2CoRe2N6 with its simulated X-ray powder pattern. Radiation: Cu Ka. Structure: the PBE geometry in Alexandria.
No peak broadening, texture or thermal motion is included.

Largest 12 diffraction maxima, low angle first, 2θ from 10° to 90°:
2theta  I_rel
16.70  13
30.10  100
33.08  62
34.61  15
45.32  25
53.45  21
55.37  31
60.92  16
62.57  15
72.63  13
77.50  10
86.79  11

Structure:
Lattice parameters (Å, degrees): 6.3204 6.3204 6.3204 56.04 56.04 56.04
Atoms (fractional coordinates):
1 Ac 0.2112 0.2112 0.2112
2 Ac 0.7888 0.7888 0.7888
3 Co 0.0000 0.0000 0.0000
4 Re 0.4230 0.4230 0.4230
5 Re 0.5770 0.5770 0.5770
6 N 0.2298 0.2298 0.7674
7 N 0.2298 0.7674 0.2298
8 N 0.2326 0.7702 0.7702
9 N 0.7674 0.2298 0.2298
10 N 0.7702 0.2326 0.7702
11 N 0.7702 0.7702 0.2326

(5)
This entry pairs a crystal structure of Ac6Tl2CoN with its simulated X-ray powder pattern. Radiation: Cu Ka. Structure: the PBE geometry in Alexandria.
No peak broadening, texture or thermal motion is included.

Largest 12 diffraction maxima, low angle first, 2θ from 10° to 90°:
2theta  I_rel
28.21  100
32.45  20
32.80  41
46.81  30
47.06  15
55.32  14
55.77  31
58.33  16
75.51  12
78.10  7
78.29  8
87.32  11

Structure:
Lattice parameters (Å, degrees): 5.4614 5.4614 11.0362 90.00 90.00 90.00
Atoms (fractional coordinates):
1 Ac 0.0000 0.0000 0.2383
2 Ac 0.0000 0.0000 0.7617
3 Ac 0.0000 0.5000 0.0000
4 Ac 0.0000 0.5000 0.5000
5 Ac 0.5000 0.0000 0.0000
6 Ac 0.5000 0.0000 0.5000
7 Tl 0.5000 0.5000 0.2346
8 Tl 0.5000 0.5000 0.7654
9 Co 0.0000 0.0000 0.5000
10 N 0.0000 0.0000 0.0000

(6)
This entry pairs a crystal structure of NaAc6Co2 with its simulated X-ray powder pattern. Radiation: Cu Ka. Structure: the PBE geometry in Alexandria.
No peak broadening, texture or thermal motion is included.

Largest 12 diffraction maxima, low angle first, 2θ from 10° to 90°:
2theta  I_rel
13.65  31
23.09  18
25.08  25
26.78  58
27.50  43
27.80  100
28.66  26
33.25  46
33.63  21
35.06  30
48.53  25
48.81  24

Structure:
Lattice parameters (Å, degrees): 13.6297 13.6297 13.6297 163.57 148.57 35.67
Atoms (fractional coordinates):
1 Na 0.0000 0.0000 0.0000
2 Ac 0.1353 0.9828 0.3655
3 Ac 0.2423 0.7423 0.5000
4 Ac 0.3827 0.0172 0.1525
5 Ac 0.6173 0.7698 0.6345
6 Ac 0.7577 0.2577 0.5000
7 Ac 0.8647 0.2302 0.8475
8 Co 0.3217 0.3217 0.0000
9 Co 0.6783 0.6783 0.0000

(7)
This entry pairs a crystal structure of Na2Ac5Co2 with its simulated X-ray powder pattern. Radiation: Cu Ka. Structure: the PBE geometry in Alexandria.
No peak broadening, texture or thermal motion is included.

Largest 12 diffraction maxima, low angle first, 2θ from 10° to 90°:
2theta  I_rel
11.14  39
14.48  46
15.08  96
26.91  100
27.10  97
30.43  57
31.70  100
35.28  49
44.52  77
53.51  33
53.82  32
72.54  22

Structure:
Lattice parameters (Å, degrees): 9.8793 8.8981 7.1140 75.27 60.59 44.14
Atoms (fractional coordinates):
1 Na 0.2432 0.2432 0.7568
2 Na 0.7568 0.7568 0.2432
3 Ac 0.1217 0.1217 0.3783
4 Ac 0.3783 0.3783 0.1217
5 Ac 0.5000 0.5000 0.5000
6 Ac 0.6217 0.6217 0.8783
7 Ac 0.8783 0.8783 0.6217
8 Co 0.2793 0.7207 0.2793
9 Co 0.7207 0.2793 0.7207